Diffraction record for Li4I3F. The X-ray powder pattern is theoretical, not measured: it uses a DFT-relaxed cell (GGA-PBE, Alexandria) and Cu Kα (weighted mean of Kα1 and Kα2).

Structural model:
Unit cell a=6.5794 b=6.5794 c=6.5794 alpha=122.39 beta=91.67 gamma=115.80
Element x y z (fractional)
Li1 0.1903 0.0000 0.1903
Li2 0.2702 0.0099 0.7397
Li3 0.2702 0.5304 0.2603
Li4 0.8097 0.0000 0.8097
I1 0.3405 0.6072 0.7333
I2 0.6015 0.1015 0.5000
I3 0.8739 0.6072 0.2667
F1 0.1307 0.1307 0.0000

Most intense lines, 5° ≤ 2θ ≤ 70°, sorted by position:
2θ 25.5, rel. 31; 2θ 27.2, rel. 100; 2θ 28.1, rel. 24; 2θ 38.3, rel. 22; 2θ 46.0, rel. 24; 2θ 49.2, rel. 21

Diffraction record for KCuS. The X-ray powder pattern is theoretical, not measured: it uses a DFT-relaxed cell (GGA-PBE, Alexandria) and Cu Kα (weighted mean of Kα1 and Kα2).

Structural model:
Unit cell a=10.8259 b=5.3078 c=6.3179 alpha=90.00 beta=90.00 gamma=90.00
Element x y z (fractional)
K1 0.1522 0.2500 0.0182
K2 0.3478 0.7500 0.5182
K3 0.6522 0.2500 0.4818
K4 0.8478 0.7500 0.9818
Cu1 0.0000 0.0000 0.5000
Cu2 0.0000 0.5000 0.5000
Cu3 0.5000 0.0000 0.0000
Cu4 0.5000 0.5000 0.0000
S1 0.0899 0.7500 0.2785
S2 0.4101 0.2500 0.7785
S3 0.5899 0.7500 0.2215
S4 0.9101 0.2500 0.7215

Most intense lines, 5° ≤ 2θ ≤ 70°, sorted by position:
2θ 16.2, rel. 82; 2θ 16.4, rel. 80; 2θ 23.4, rel. 40; 2θ 28.5, rel. 100; 2θ 37.7, rel. 80; 2θ 47.8, rel. 35

Diffraction record for Ta2NbH6. The X-ray powder pattern is theoretical, not measured: it uses a DFT-relaxed cell (GGA-PBE, Alexandria) and Cu Kα (weighted mean of Kα1 and Kα2).

Structural model:
Unit cell a=5.5381 b=5.5381 c=5.5381 alpha=146.37 beta=131.37 gamma=60.42
Element x y z (fractional)
Ta1 0.1670 0.1670 0.0000
Ta2 0.8330 0.8330 0.0000
Nb1 0.5000 0.5000 0.0000
H1 0.0795 0.3322 0.7473
H2 0.2462 0.0000 0.2462
H3 0.4150 0.6678 0.7473
H4 0.5850 0.3322 0.2527
H5 0.7538 0.0000 0.7538
H6 0.9205 0.6678 0.2527

Most intense lines, 5° ≤ 2θ ≤ 70°, sorted by position:
2θ 34.3, rel. 100; 2θ 39.5, rel. 16; 2θ 39.9, rel. 32; 2θ 57.4, rel. 23; 2θ 68.3, rel. 14; 2θ 68.7, rel. 13